Entry 1:
Diffraction record for MgP4Pb. The powder X-ray diffraction pattern is computed, not measured: it uses DFT lattice parameters and positions (PBE) and Cu Kα, 1.54184 Å.

Main lines, in order of falling intensity (2θ from 10° to 90°):
2θ (°)  I/Imax  hkl
37.1  100  3 1 1
31.5  78  2 2 0
22.1  74  2 0 0
19.1  52  1 1 1
59.8  43  5 1 1
49.4  31  3 3 1
56.1  28  4 2 2
38.8  23  2 2 2
69.2  18  5 3 1
50.8  17  4 2 0

Cell and atoms:
Unit cell a=8.036 b=8.036 c=8.036 alpha=90.00 beta=90.00 gamma=90.00
Space group F-43m (No. 216)
Symmetry-distinct sites (fractional):
Mg (0.000, 0.000, 0.000) x4
P (0.149, 0.149, 0.649) x16
Pb (0.250, 0.250, 0.250) x4

=====

Entry 2:
Diffraction record for LaSm6Mg2. The powder X-ray diffraction pattern is computed, not measured: it uses DFT lattice parameters and positions (PBE) and Cu Kα, 1.54184 Å.

Main lines, in order of falling intensity (2θ from 10° to 90°):
2θ (°)  I/Imax  hkl
30.0  100  5 1 1
28.9  92  1 3 1
34.4  39  0 0 2
47.7  24  10 0 0
32.0  24  6 2 0
61.1  18  11 3 1
58.9  15  5 1 3
35.1  14  0 4 1
58.2  13  1 3 3
35.9  13  4 4 0

Cell and atoms:
Unit cell a=19.083 b=11.748 c=5.220 alpha=90.00 beta=90.00 gamma=90.00
Space group Cmcm (No. 63)
Symmetry-distinct sites (fractional):
La (0.000, 0.242, 0.250) x4
Sm (0.087, 0.417, 0.750) x8
Sm (0.102, 0.112, 0.750) x8
Sm (0.185, 0.300, 0.250) x8
Mg (0.241, 0.053, 0.250) x8

=====

Entry 3:
Diffraction record for Nd2Er8Sc3. The powder X-ray diffraction pattern is computed, not measured: it uses DFT lattice parameters and positions (PBE) and Cu Kα, 1.54184 Å.

Main lines, in order of falling intensity (2θ from 10° to 90°):
2θ (°)  I/Imax  hkl
31.5  100  2 1 1
36.5  67  2 -1 0
31.4  35  0 2 1
62.6  27  4 0 1
52.6  23  1 -3 2
62.7  17  2 2 -5
52.6  16  3 1 -2
65.8  11  4 2 2
62.5  10  1 4 -1
86.2  9  5 2 -1

Cell and atoms:
Unit cell a=6.025 b=6.037 c=10.979 alpha=89.97 beta=79.49 gamma=80.49
Space group P-1 (No. 2)
Symmetry-distinct sites (fractional):
Nd (0.116, 0.231, 0.039) x2
Er (0.041, 0.082, 0.353) x2
Er (0.193, 0.379, 0.720) x2
Er (0.347, 0.692, 0.123) x2
Er (0.424, 0.840, 0.798) x2
Sc (0.273, 0.539, 0.427) x2
Sc (0.500, 0.000, 0.500) x1

=====

Entry 4:
Diffraction record for Ho4Hg3Rh. The powder X-ray diffraction pattern is computed, not measured: it uses DFT lattice parameters and positions (PBE) and Cu Kα, 1.54184 Å.

Main lines, in order of falling intensity (2θ from 10° to 90°):
2θ (°)  I/Imax  hkl
34.7  100  1 0 4
35.4  50  1 1 0
63.1  36  2 1 4
51.0  18  2 0 0
61.7  16  1 1 8
73.2  10  2 0 8
74.9  9  2 2 0
85.7  8  3 1 0
48.8  8  0 0 8
85.3  8  3 0 4

Cell and atoms:
Unit cell a=3.585 b=3.585 c=14.922 alpha=90.00 beta=90.00 gamma=90.00
Space group P4/mmm (No. 123)
Symmetry-distinct sites (fractional):
Ho (0.000, 0.000, 0.108) x2
Ho (0.000, 0.000, 0.371) x2
Hg (0.500, 0.500, 0.244) x2
Hg (0.500, 0.500, 0.500) x1
Rh (0.500, 0.500, 0.000) x1

=====

Number 1 is which compound? MgP4Pb